Record 1
For TaS, a cell relaxed with GGA-PBE gives the computed powder diffraction line list in this record (copper Kα).

Crystal structure
a = 3.2215 Å, b = 3.2215 Å, c = 22.3661 Å
α = 90.00°, β = 90.00°, γ = 120.00°
Space group R3m (No. 160, hexagonal axes)
Symmetry-distinct sites (fractional):
1 Ta 0.0000 0.0000 0.0000 x3
2 Ta 0.0000 0.0000 0.1491 x3
3 S 0.0000 0.0000 0.2608 x3
4 S 0.0000 0.0000 0.4110 x3

The 10 most intense peaks (10° ≤ 2θ ≤ 90°), in order of falling intensity:
- hkl 1 0 1, d 2.768, 2θ 32.34, intensity 100
- hkl 1 0 7, d 2.102, 2θ 43.04, intensity 67
- hkl 0 0 6, d 3.728, 2θ 23.87, intensity 54
- hkl 0 1 8, d 1.975, 2θ 45.96, intensity 42
- hkl 0 1 5, d 2.367, 2θ 38.01, intensity 35
- hkl 1 1 0, d 1.611, 2θ 57.19, intensity 34
- hkl 0 1 2, d 2.707, 2θ 33.09, intensity 27
- hkl 1 1 6, d 1.479, 2θ 62.85, intensity 24
- hkl 1 1 12, d 1.219, 2θ 78.48, intensity 16
- hkl 0 2 7, d 1.278, 2θ 74.17, intensity 14

Record 2
For TaS3, a cell relaxed with GGA-PBE gives the computed powder diffraction line list in this record (copper Kα).

Crystal structure
a = 5.001 Å, b = 3.366 Å, c = 9.425 Å
α = 90.00°, β = 96.74°, γ = 90.00°
Space group P2_1/m (No. 11)
Symmetry-distinct sites (fractional):
1 Ta 0.214 0.250 0.340 x2
2 S 0.065 0.250 0.805 x2
3 S 0.259 0.750 0.543 x2
4 S 0.430 0.750 0.195 x2

The 10 most intense peaks (10° ≤ 2θ ≤ 90°), in order of falling intensity:
- hkl 0 1 2, d 2.732, 2θ 32.78, intensity 100
- hkl 1 0 1, d 4.188, 2θ 21.21, intensity 75
- hkl 2 1 1, d 1.919, 2θ 47.37, intensity 55
- hkl 1 0 -1, d 4.617, 2θ 19.22, intensity 54
- hkl 1 0 -2, d 3.625, 2θ 24.56, intensity 53
- hkl 1 1 0, d 2.786, 2θ 32.12, intensity 43
- hkl 0 0 2, d 4.680, 2θ 18.96, intensity 40
- hkl 1 1 -3, d 2.150, 2θ 42.03, intensity 38
- hkl 1 1 3, d 2.013, 2θ 45.03, intensity 34
- hkl 1 1 2, d 2.329, 2θ 38.66, intensity 32

Record 3
For Ta7S12, a cell relaxed with GGA-PBE gives the computed powder diffraction line list in this record (copper Kα).

Crystal structure
a = 5.765 Å, b = 9.984 Å, c = 13.096 Å
α = 90.00°, β = 98.39°, γ = 90.00°
Space group C2/m (No. 12)
Symmetry-distinct sites (fractional):
1 Ta 0.000 0.000 0.000 x2
2 Ta 0.081 0.000 0.245 x4
3 Ta 0.081 0.333 0.243 x8
4 S 0.207 0.167 0.119 x8
5 S 0.207 0.500 0.119 x4
6 S 0.212 0.333 0.636 x8
7 S 0.214 0.000 0.636 x4

The 10 most intense peaks (10° ≤ 2θ ≤ 90°), in order of falling intensity:
- hkl 0 0 2, d 6.478, 2θ 13.67, intensity 100
- hkl 1 3 0, d 2.875, 2θ 31.11, intensity 66
- hkl 1 3 4, d 2.075, 2θ 43.62, intensity 34
- hkl 0 6 0, d 1.664, 2θ 55.20, intensity 28
- hkl 2 0 4, d 1.999, 2θ 45.36, intensity 28
- hkl 1 3 2, d 2.558, 2θ 35.08, intensity 25
- hkl 2 0 -4, d 2.315, 2θ 38.90, intensity 24
- hkl 1 3 -4, d 2.233, 2θ 40.39, intensity 23
- hkl 1 3 -2, d 2.702, 2θ 33.15, intensity 23
- hkl 3 3 1, d 1.612, 2θ 57.15, intensity 17